Theoretical XRD peak list
Compound: Ac2Pm4SmTm
Radiation: copper Kα
Structure: DFT lattice parameters and positions (GGA-PBE)
Kinematic intensities with the Lorentz-polarization factor, no thermal factor.

Structure:
Cell lengths 9.829, 9.829, 7.159 Å; angles 111.34, 111.34, 88.44 degrees
Element x y z (fractional)
Ac 0.000 0.000 0.000
Ac 0.000 0.000 0.500
Ac 0.000 0.500 0.000
Ac 0.500 0.000 0.500
Pm 0.256 0.276 0.518
Pm 0.264 0.736 0.515
Pm 0.264 0.736 0.985
Pm 0.276 0.256 0.018
Pm 0.724 0.744 0.982
Pm 0.736 0.264 0.015
Pm 0.736 0.264 0.485
Pm 0.744 0.724 0.482
Sm 0.000 0.500 0.500
Sm 0.500 0.000 0.000
Tm 0.500 0.500 0.000
Tm 0.500 0.500 0.500

Main lines, sorted by position (2θ from 5° to 70°):
| Position (°2θ) | intensity |
| --- | --- |
| 26.00 | 64.0 |
| 28.96 | 100.0 |
| 29.44 | 49.6 |
| 39.31 | 85.2 |
| 39.67 | 40.8 |
| 51.92 | 19.7 |
| 58.96 | 24.5 |
| 61.95 | 20.1 |